Ag2Au2IOF: theoretical powder diffraction line list (Cu Kα (weighted mean of Kα1 and Kα2)), based on a DFT-relaxed cell (PBE, OQMD).

Cell and atoms:
Cell: 4.929 8.691 6.894 Å, 90.00 92.92 90.00°
Fractional positions:
Ag 0.093 0.000 0.152
Ag 0.117 0.002 0.748
Ag 0.883 0.502 0.252
Ag 0.907 0.500 0.848
Au 0.185 0.711 0.608
Au 0.302 0.368 0.602
Au 0.698 0.868 0.398
Au 0.815 0.211 0.392
I 0.392 0.749 0.960
I 0.608 0.249 0.040
O 0.012 0.734 0.327
O 0.988 0.234 0.673
F 0.377 0.016 0.449
F 0.623 0.516 0.551

The 10 most intense peaks (2θ = 10–90°), low angle first:
12.86 deg, rel. 43; 21.65 deg, rel. 59; 23.98 deg, rel. 39; 29.95 deg, rel. 60; 32.49 deg, rel. 79; 32.64 deg, rel. 32; 33.20 deg, rel. 33; 35.97 deg, rel. 100; 38.01 deg, rel. 37; 40.69 deg, rel. 72

K2AgAuF6: theoretical powder diffraction line list (Cu Kα (weighted mean of Kα1 and Kα2)), based on a DFT-relaxed cell (PBE, OQMD).

Cell and atoms:
Cell: 6.203 6.203 6.203 Å, 121.79 121.79 86.93°
Fractional positions:
K 0.250 0.750 0.500
K 0.750 0.250 0.500
Ag 0.000 0.000 0.000
Au 0.500 0.500 0.000
F 0.235 0.235 0.000
F 0.258 0.258 0.515
F 0.258 0.742 0.000
F 0.742 0.258 0.000
F 0.742 0.742 0.485
F 0.765 0.765 0.000

The 10 most intense peaks (2θ = 10–90°), low angle first:
17.69 deg, rel. 17; 19.72 deg, rel. 36; 20.82 deg, rel. 63; 28.83 deg, rel. 100; 29.61 deg, rel. 47; 40.05 deg, rel. 21; 42.36 deg, rel. 36; 50.59 deg, rel. 20; 52.05 deg, rel. 38; 59.71 deg, rel. 23

Hf2Ga2AgAu: theoretical powder diffraction line list (Cu Kα (weighted mean of Kα1 and Kα2)), based on a DFT-relaxed cell (PBE, OQMD).

Cell and atoms:
Cell: 7.669 4.427 14.684 Å, 90.00 100.01 90.00°
Fractional positions:
Hf 0.000 0.000 0.000
Hf 0.001 0.500 0.500
Hf 0.250 0.000 0.750
Hf 0.251 0.500 0.250
Hf 0.501 0.000 0.500
Hf 0.502 0.500 0.000
Hf 0.751 0.000 0.250
Hf 0.752 0.500 0.751
Ga 0.126 0.000 0.377
Ga 0.129 0.500 0.876
Ga 0.375 0.000 0.124
Ga 0.378 0.500 0.625
Ga 0.623 0.000 0.874
Ga 0.626 0.500 0.377
Ga 0.873 0.000 0.624
Ga 0.876 0.500 0.125
Ag 0.313 0.000 0.938
Ag 0.313 0.500 0.438
Ag 0.563 0.000 0.688
Ag 0.813 0.000 0.438
Au 0.063 0.000 0.187
Au 0.063 0.500 0.688
Au 0.564 0.500 0.188
Au 0.813 0.500 0.938

The 10 most intense peaks (2θ = 10–90°), low angle first:
24.63 deg, rel. 52; 28.51 deg, rel. 7; 40.76 deg, rel. 100; 48.20 deg, rel. 26; 59.01 deg, rel. 17; 64.92 deg, rel. 11; 66.82 deg, rel. 3; 74.20 deg, rel. 34; 79.55 deg, rel. 8; 88.30 deg, rel. 11

Copy entry 1 word for word.
Ag2Au2IOF: theoretical powder diffraction line list (Cu Kα (weighted mean of Kα1 and Kα2)), based on a DFT-relaxed cell (PBE, OQMD).

Cell and atoms:
Cell: 4.929 8.691 6.894 Å, 90.00 92.92 90.00°
Fractional positions:
Ag 0.093 0.000 0.152
Ag 0.117 0.002 0.748
Ag 0.883 0.502 0.252
Ag 0.907 0.500 0.848
Au 0.185 0.711 0.608
Au 0.302 0.368 0.602
Au 0.698 0.868 0.398
Au 0.815 0.211 0.392
I 0.392 0.749 0.960
I 0.608 0.249 0.040
O 0.012 0.734 0.327
O 0.988 0.234 0.673
F 0.377 0.016 0.449
F 0.623 0.516 0.551

The 10 most intense peaks (2θ = 10–90°), low angle first:
12.86 deg, rel. 43; 21.65 deg, rel. 59; 23.98 deg, rel. 39; 29.95 deg, rel. 60; 32.49 deg, rel. 79; 32.64 deg, rel. 32; 33.20 deg, rel. 33; 35.97 deg, rel. 100; 38.01 deg, rel. 37; 40.69 deg, rel. 72